1.
Diffraction record for TmPa2WC4. The X-ray diffraction stick pattern is simulated, not measured: it uses a crystal structure in Alexandria, relaxed with GGA-PBE and Cu Kα, 1.54184 Å.
Neutral-atom scattering factors, no anomalous dispersion.

Crystal structure
Unit cell a=6.1367 b=6.1367 c=12.6384 alpha=90.00 beta=90.00 gamma=147.56
Atoms (fractional coordinates):
Tm  0.1168  0.8832  0.7500
Tm  0.8832  0.1168  0.2500
Pa  0.3650  0.6350  0.5364
Pa  0.3650  0.6350  0.9636
Pa  0.6350  0.3650  0.0364
Pa  0.6350  0.3650  0.4636
W  0.1518  0.8482  0.2500
W  0.8482  0.1518  0.7500
C  0.0000  0.0000  0.0000
C  0.0000  0.0000  0.5000
C  0.2636  0.7364  0.1320
C  0.2636  0.7364  0.3680
C  0.4460  0.5540  0.7500
C  0.5540  0.4460  0.2500
C  0.7364  0.2636  0.6320
C  0.7364  0.2636  0.8680

Most intense lines, 2θ = 10–80°, by angle:
| 2θ (°) | I (rel.) |
| --- | --- |
| 26.0 | 24.3 |
| 28.2 | 53.1 |
| 30.3 | 56.8 |
| 30.6 | 99.9 |
| 37.6 | 100.0 |
| 38.8 | 21.0 |
| 41.9 | 32.0 |
| 63.3 | 22.0 |



2.
Diffraction record for U3PaC4. The X-ray diffraction stick pattern is simulated, not measured: it uses a crystal structure in Alexandria, relaxed with GGA-PBE and Cu Kα, 1.54184 Å.
Neutral-atom scattering factors, no anomalous dispersion.

Crystal structure
Unit cell a=4.9731 b=4.9731 c=4.9731 alpha=90.00 beta=90.00 gamma=90.00
Atoms (fractional coordinates):
U  0.0000  0.0000  0.5000
U  0.0000  0.5000  0.0000
U  0.5000  0.0000  0.0000
Pa  0.5000  0.5000  0.5000
C  0.0000  0.0000  0.0000
C  0.0000  0.5000  0.5000
C  0.5000  0.0000  0.5000
C  0.5000  0.5000  0.0000

Most intense lines, 2θ = 10–80°, by angle:
| 2θ (°) | I (rel.) |
| --- | --- |
| 31.2 | 100.0 |
| 36.1 | 61.8 |
| 52.0 | 44.1 |
| 61.9 | 46.2 |
| 65.0 | 15.3 |
| 76.6 | 7.3 |



3.
Diffraction record for U3PaC4. The X-ray diffraction stick pattern is simulated, not measured: it uses a crystal structure in Alexandria, relaxed with GGA-PBE and Cu Kα, 1.54184 Å.
Neutral-atom scattering factors, no anomalous dispersion.

Crystal structure
Unit cell a=6.0851 b=6.0851 c=3.5273 alpha=90.00 beta=90.00 gamma=110.02
Atoms (fractional coordinates):
U  0.0000  0.0000  0.0000
U  0.0000  0.5000  0.5000
U  0.5000  0.0000  0.5000
Pa  0.5000  0.5000  0.0000
C  0.2383  0.2383  0.5000
C  0.2452  0.7548  0.0000
C  0.7548  0.2452  0.0000
C  0.7617  0.7617  0.5000

Most intense lines, 2θ = 10–80°, by angle:
| 2θ (°) | I (rel.) |
| --- | --- |
| 31.1 | 100.0 |
| 31.3 | 98.2 |
| 36.0 | 41.2 |
| 36.2 | 81.2 |
| 52.0 | 58.3 |
| 61.7 | 15.4 |
| 61.8 | 46.0 |
| 62.2 | 30.1 |